Diffraction record for BeVO2. The powder X-ray diffraction pattern is theoretical, not measured: it uses DFT lattice parameters and positions (PBE+U) and Cu Kα (weighted mean of Kα1 and Kα2).
No peak broadening, texture or thermal motion is included.

Most intense lines, 2θ from 5° to 70°, sorted by position:
2θ 22.96, intensity 45
2θ 36.64, intensity 100
2θ 40.15, intensity 28
2θ 40.42, intensity 9
2θ 46.99, intensity 38
2θ 58.49, intensity 15
2θ 63.36, intensity 26
2θ 63.68, intensity 8

Unit cell a=4.463 b=4.463 c=7.796 alpha=90.00 beta=90.00 gamma=90.00
Sites, in units of the cell vectors:
Be1 0.000 0.000 0.000
Be2 0.000 0.500 0.250
Be3 0.500 0.000 0.750
Be4 0.500 0.500 0.500
V1 0.000 0.000 0.500
V2 0.000 0.500 0.750
V3 0.500 0.000 0.250
V4 0.500 0.500 0.000
O1 0.173 0.250 0.125
O2 0.250 0.673 0.375
O3 0.250 0.827 0.875
O4 0.327 0.250 0.625
O5 0.673 0.750 0.625
O6 0.750 0.173 0.875
O7 0.750 0.327 0.375
O8 0.827 0.750 0.125

=====

Diffraction record for BeV2O6. The powder X-ray diffraction pattern is theoretical, not measured: it uses DFT lattice parameters and positions (PBE+U) and Cu Kα (weighted mean of Kα1 and Kα2).
No peak broadening, texture or thermal motion is included.

Most intense lines, 2θ from 5° to 70°, sorted by position:
2θ 15.38, intensity 14
2θ 17.40, intensity 30
2θ 19.35, intensity 67
2θ 23.99, intensity 100
2θ 24.09, intensity 88
2θ 24.81, intensity 58
2θ 46.06, intensity 18
2θ 46.23, intensity 13

Unit cell a=7.880 b=7.880 c=5.685 alpha=110.86 beta=110.86 gamma=93.95
Sites, in units of the cell vectors:
Be1 0.238 0.762 0.750
Be2 0.762 0.238 0.250
V1 0.173 0.346 0.296
V2 0.346 0.173 0.796
V3 0.654 0.827 0.204
V4 0.827 0.654 0.704
O1 0.055 0.746 0.819
O2 0.219 0.577 0.486
O3 0.240 0.305 0.010
O4 0.254 0.945 0.681
O5 0.305 0.240 0.510
O6 0.423 0.781 0.014
O7 0.577 0.219 0.986
O8 0.695 0.760 0.490
O9 0.746 0.055 0.319
O10 0.760 0.695 0.990
O11 0.781 0.423 0.514
O12 0.945 0.254 0.181

=====

Diffraction record for Be2VZnO6. The powder X-ray diffraction pattern is theoretical, not measured: it uses DFT lattice parameters and positions (PBE+U) and Cu Kα (weighted mean of Kα1 and Kα2).
No peak broadening, texture or thermal motion is included.

Most intense lines, 2θ from 5° to 70°, sorted by position:
2θ 14.58, intensity 28
2θ 19.77, intensity 100
2θ 28.23, intensity 29
2θ 29.41, intensity 33
2θ 30.34, intensity 99
2θ 34.21, intensity 25
2θ 36.50, intensity 56
2θ 43.73, intensity 59

Unit cell a=6.373 b=6.373 c=5.326 alpha=106.90 beta=106.90 gamma=80.64
Sites, in units of the cell vectors:
Be1 0.133 0.283 0.220
Be2 0.283 0.133 0.720
Be3 0.717 0.867 0.280
Be4 0.867 0.717 0.780
V1 0.387 0.613 0.750
V2 0.613 0.387 0.250
Zn1 0.215 0.785 0.250
Zn2 0.785 0.215 0.750
O1 0.107 0.203 0.895
O2 0.124 0.612 0.770
O3 0.203 0.107 0.395
O4 0.307 0.479 0.351
O5 0.388 0.876 0.730
O6 0.479 0.307 0.851
O7 0.521 0.693 0.149
O8 0.612 0.124 0.270
O9 0.693 0.521 0.649
O10 0.797 0.893 0.605
O11 0.876 0.388 0.230
O12 0.893 0.797 0.105